SmWO5: calculated XRD peak list (Cu Kα (λ = 1.5418 Å)), based on a cell relaxed with PBE+U.
Lines closer than 0.1° are merged.

Main lines, sorted by position (2θ from 15° to 90°):
- 4.497 Å, 19.74°, rel. 100
- 4.007 Å, 22.18°, rel. 66
- 3.470 Å, 25.67°, rel. 50
- 3.354 Å, 26.58°, rel. 69
- 3.302 Å, 27.00°, rel. 93
- 3.218 Å, 27.72°, rel. 52
- 2.902 Å, 30.82°, rel. 43
- 2.873 Å, 31.13°, rel. 85
- 2.618 Å, 34.25°, rel. 49
- 2.056 Å, 44.04°, rel. 39

Crystal structure
```
data_SmWO5
_chemical_formula_sum 'Sm4 W4 O20'
_cell_length_a 5.364
_cell_length_b 13.033
_cell_length_c 7.141
_cell_angle_alpha 90.00
_cell_angle_beta 116.72
_cell_angle_gamma 90.00
_space_group_name_H-M_alt 'P 1 21/c 1'
_space_group_IT_number 14
loop_
_space_group_symop_operation_xyz
'x,y,z'
'-x,-y,-z'
'-x,y+1/2,-z+1/2'
'x,-y+1/2,z+1/2'
loop_
_atom_site_label
_atom_site_type_symbol
_atom_site_fract_x
_atom_site_fract_y
_atom_site_fract_z
Sm1 Sm 0.135 0.057 0.283
W1 W 0.386 0.139 0.845
O1 O 0.033 0.091 0.574
O2 O 0.204 0.067 0.973
O3 O 0.271 0.647 0.431
O4 O 0.294 0.227 0.294
O5 O 0.497 0.570 0.840
```